1.
# Sn4GeTe4Se
Computed X-ray diffraction stick pattern, Cu Kα (weighted mean of Kα1 and Kα2). Input: a crystal structure in Alexandria, relaxed with PBE.
No peak broadening, texture or thermal motion is included.

Main lines, by angle (10° ≤ 2θ ≤ 90°):
2θ = 28.4°, I = 100; 2θ = 36.1°, I = 7; 2θ = 40.1°, I = 31; 2θ = 41.0°, I = 40; 2θ = 50.6°, I = 20; 2θ = 58.7°, I = 10; 2θ = 65.8°, I = 10; 2θ = 67.0°, I = 18; 2θ = 74.0°, I = 11; 2θ = 74.6°, I = 7

Structural model:
```
data_Sn4GeTe4Se
_chemical_formula_sum 'Sn4 Ge1 Te4 Se1'
_cell_length_a 18.7482
_cell_length_b 18.7482
_cell_length_c 18.7482
_cell_angle_alpha 13.49
_cell_angle_beta 13.49
_cell_angle_gamma 13.49
_space_group_name_H-M_alt 'P 1'
_space_group_IT_number 1
loop_
_space_group_symop_operation_xyz
'x,y,z'
loop_
_atom_site_label
_atom_site_type_symbol
_atom_site_fract_x
_atom_site_fract_y
_atom_site_fract_z
Sn1 Sn 0.0000 0.0000 0.0000
Sn2 Sn 0.1936 0.1936 0.1936
Sn3 Sn 0.4032 0.4032 0.4032
Sn4 Sn 0.5969 0.5969 0.5969
Ge1 Ge 0.7947 0.7947 0.7947
Te1 Te 0.2937 0.2937 0.2937
Te2 Te 0.4871 0.4871 0.4871
Te3 Te 0.6968 0.6968 0.6968
Te4 Te 0.8906 0.8906 0.8906
Se1 Se 0.0951 0.0951 0.0951
```



2.
# Eu3Ta5O15
Computed X-ray diffraction stick pattern, Cu Kα (weighted mean of Kα1 and Kα2). Input: a crystal structure in Alexandria, relaxed with PBE.
No peak broadening, texture or thermal motion is included.

Main lines, by angle (10° ≤ 2θ ≤ 90°):
2θ = 22.4°, I = 16; 2θ = 25.5°, I = 30; 2θ = 27.5°, I = 41; 2θ = 29.3°, I = 42; 2θ = 30.2°, I = 15; 2θ = 31.8°, I = 100; 2θ = 45.7°, I = 29; 2θ = 51.4°, I = 22; 2θ = 55.2°, I = 14; 2θ = 56.7°, I = 33

Structural model:
```
data_Eu3Ta5O15
_chemical_formula_sum 'Eu6 Ta10 O30'
_cell_length_a 12.5731
_cell_length_b 12.5731
_cell_length_c 3.9725
_cell_angle_alpha 90.00
_cell_angle_beta 90.00
_cell_angle_gamma 90.00
_space_group_name_H-M_alt 'P 1'
_space_group_IT_number 1
loop_
_space_group_symop_operation_xyz
'x,y,z'
loop_
_atom_site_label
_atom_site_type_symbol
_atom_site_fract_x
_atom_site_fract_y
_atom_site_fract_z
Eu1 Eu 0.0000 0.0000 0.0000
Eu2 Eu 0.1599 0.3401 0.0000
Eu3 Eu 0.3401 0.8401 0.0000
Eu4 Eu 0.5000 0.5000 0.0000
Eu5 Eu 0.6599 0.1599 0.0000
Eu6 Eu 0.8401 0.6599 0.0000
Ta1 Ta 0.0000 0.5000 0.5000
Ta2 Ta 0.0817 0.7909 0.5000
Ta3 Ta 0.2091 0.0817 0.5000
Ta4 Ta 0.2909 0.5817 0.5000
Ta5 Ta 0.4183 0.2909 0.5000
Ta6 Ta 0.5000 0.0000 0.5000
Ta7 Ta 0.5817 0.7091 0.5000
Ta8 Ta 0.7091 0.4183 0.5000
Ta9 Ta 0.7909 0.9183 0.5000
Ta10 Ta 0.9183 0.2091 0.5000
O1 O 0.0000 0.5000 0.0000
O2 O 0.0081 0.3409 0.5000
O3 O 0.0612 0.1355 0.5000
O4 O 0.0827 0.7950 0.0000
O5 O 0.1355 0.9388 0.5000
O6 O 0.1591 0.4919 0.5000
O7 O 0.2050 0.0827 0.0000
O8 O 0.2318 0.7318 0.5000
O9 O 0.2682 0.2318 0.5000
O10 O 0.2950 0.5827 0.0000
O11 O 0.3409 0.9919 0.5000
O12 O 0.3645 0.4388 0.5000
O13 O 0.4173 0.2950 0.0000
O14 O 0.4388 0.6355 0.5000
O15 O 0.4919 0.8409 0.5000
O16 O 0.5000 0.0000 0.0000
O17 O 0.5081 0.1591 0.5000
O18 O 0.5612 0.3645 0.5000
O19 O 0.5827 0.7050 0.0000
O20 O 0.6355 0.5612 0.5000
O21 O 0.6591 0.0081 0.5000
O22 O 0.7050 0.4173 0.0000
O23 O 0.7318 0.7682 0.5000
O24 O 0.7682 0.2682 0.5000
O25 O 0.7950 0.9173 0.0000
O26 O 0.8409 0.5081 0.5000
O27 O 0.8645 0.0612 0.5000
O28 O 0.9173 0.2050 0.0000
O29 O 0.9388 0.8645 0.5000
O30 O 0.9919 0.6591 0.5000
```



3.
# Mg11Cd9Ir4
Computed X-ray diffraction stick pattern, Cu Kα (weighted mean of Kα1 and Kα2). Input: a crystal structure in Alexandria, relaxed with PBE.
No peak broadening, texture or thermal motion is included.

Main lines, by angle (10° ≤ 2θ ≤ 90°):
2θ = 25.5°, I = 35; 2θ = 25.6°, I = 34; 2θ = 27.6°, I = 54; 2θ = 36.5°, I = 55; 2θ = 38.0°, I = 100; 2θ = 39.2°, I = 16; 2θ = 39.8°, I = 13; 2θ = 40.2°, I = 17; 2θ = 46.3°, I = 32; 2θ = 69.5°, I = 16

Structural model:
```
data_Mg11Cd9Ir4
_chemical_formula_sum 'Mg11 Cd9 Ir4'
_cell_length_a 12.5733
_cell_length_b 12.5733
_cell_length_c 3.2340
_cell_angle_alpha 90.00
_cell_angle_beta 90.00
_cell_angle_gamma 112.84
_space_group_name_H-M_alt 'P 1'
_space_group_IT_number 1
loop_
_space_group_symop_operation_xyz
'x,y,z'
loop_
_atom_site_label
_atom_site_type_symbol
_atom_site_fract_x
_atom_site_fract_y
_atom_site_fract_z
Mg1 Mg 0.0000 0.0000 0.0000
Mg2 Mg 0.0720 0.4141 0.0000
Mg3 Mg 0.1583 0.8417 0.0000
Mg4 Mg 0.3091 0.3091 0.0000
Mg5 Mg 0.3725 0.6275 0.0000
Mg6 Mg 0.4141 0.0720 0.0000
Mg7 Mg 0.5859 0.9280 0.0000
Mg8 Mg 0.6275 0.3725 0.0000
Mg9 Mg 0.6909 0.6909 0.0000
Mg10 Mg 0.8417 0.1583 0.0000
Mg11 Mg 0.9280 0.5859 0.0000
Cd1 Cd 0.0724 0.2178 0.5000
Cd2 Cd 0.1550 0.6295 0.5000
Cd3 Cd 0.2178 0.0724 0.5000
Cd4 Cd 0.3705 0.8450 0.5000
Cd5 Cd 0.5000 0.5000 0.5000
Cd6 Cd 0.6295 0.1550 0.5000
Cd7 Cd 0.7822 0.9276 0.5000
Cd8 Cd 0.8450 0.3705 0.5000
Cd9 Cd 0.9276 0.7822 0.5000
Ir1 Ir 0.2519 0.4502 0.5000
Ir2 Ir 0.4502 0.2519 0.5000
Ir3 Ir 0.5498 0.7481 0.5000
Ir4 Ir 0.7481 0.5498 0.5000
```



4.
# Na6Hg2Pd
Computed X-ray diffraction stick pattern, Cu Kα (weighted mean of Kα1 and Kα2). Input: a crystal structure in Alexandria, relaxed with PBE.
No peak broadening, texture or thermal motion is included.

Main lines, by angle (10° ≤ 2θ ≤ 90°):
2θ = 17.2°, I = 21; 2θ = 19.8°, I = 100; 2θ = 20.4°, I = 31; 2θ = 24.3°, I = 18; 2θ = 34.2°, I = 68; 2θ = 35.1°, I = 42; 2θ = 37.7°, I = 26; 2θ = 38.6°, I = 18; 2θ = 39.8°, I = 17; 2θ = 49.6°, I = 26

Structural model:
```
data_Na6Hg2Pd
_chemical_formula_sum 'Na6 Hg2 Pd1'
_cell_length_a 10.7363
_cell_length_b 10.7363
_cell_length_c 10.7363
_cell_angle_alpha 28.25
_cell_angle_beta 28.25
_cell_angle_gamma 28.25
_space_group_name_H-M_alt 'P 1'
_space_group_IT_number 1
loop_
_space_group_symop_operation_xyz
'x,y,z'
loop_
_atom_site_label
_atom_site_type_symbol
_atom_site_fract_x
_atom_site_fract_y
_atom_site_fract_z
Na1 Na 0.0858 0.0858 0.0858
Na2 Na 0.1939 0.1939 0.1939
Na3 Na 0.3080 0.3080 0.3080
Na4 Na 0.6920 0.6920 0.6920
Na5 Na 0.8061 0.8061 0.8061
Na6 Na 0.9142 0.9142 0.9142
Hg1 Hg 0.4111 0.4111 0.4111
Hg2 Hg 0.5889 0.5889 0.5889
Pd1 Pd 0.5000 0.5000 0.5000
```



5.
# AcTmSi
Computed X-ray diffraction stick pattern, Cu Kα (weighted mean of Kα1 and Kα2). Input: a crystal structure in Alexandria, relaxed with PBE.
No peak broadening, texture or thermal motion is included.

Main lines, by angle (10° ≤ 2θ ≤ 90°):
2θ = 22.6°, I = 23; 2θ = 29.0°, I = 28; 2θ = 29.4°, I = 54; 2θ = 29.5°, I = 29; 2θ = 30.0°, I = 100; 2θ = 30.3°, I = 93; 2θ = 32.8°, I = 22; 2θ = 40.5°, I = 31; 2θ = 50.9°, I = 38; 2θ = 56.6°, I = 22

Structural model:
```
data_AcTmSi
_chemical_formula_sum 'Ac2 Tm2 Si2'
_cell_length_a 6.5016
_cell_length_b 6.5016
_cell_length_c 8.3758
_cell_angle_alpha 126.10
_cell_angle_beta 126.10
_cell_angle_gamma 40.05
_space_group_name_H-M_alt 'P 1'
_space_group_IT_number 1
loop_
_space_group_symop_operation_xyz
'x,y,z'
loop_
_atom_site_label
_atom_site_type_symbol
_atom_site_fract_x
_atom_site_fract_y
_atom_site_fract_z
Ac1 Ac 0.0815 0.0815 0.3430
Ac2 Ac 0.9185 0.9185 0.6570
Tm1 Tm 0.3104 0.3104 0.9162
Tm2 Tm 0.6896 0.6896 0.0838
Si1 Si 0.3755 0.3755 0.3296
Si2 Si 0.6245 0.6245 0.6704
```



6.
# Th5Tl3Zn3
Computed X-ray diffraction stick pattern, Cu Kα (weighted mean of Kα1 and Kα2). Input: a crystal structure in Alexandria, relaxed with PBE.
No peak broadening, texture or thermal motion is included.

Main lines, by angle (10° ≤ 2θ ≤ 90°):
2θ = 29.2°, I = 100; 2θ = 32.8°, I = 76; 2θ = 32.9°, I = 93; 2θ = 35.6°, I = 19; 2θ = 41.5°, I = 18; 2θ = 42.1°, I = 30; 2θ = 54.0°, I = 32; 2θ = 54.3°, I = 38; 2θ = 60.8°, I = 21; 2θ = 69.1°, I = 17

Structural model:
```
data_Th5Tl3Zn3
_chemical_formula_sum 'Th5 Tl3 Zn3'
_cell_length_a 8.6618
_cell_length_b 8.6618
_cell_length_c 8.6618
_cell_angle_alpha 151.29
_cell_angle_beta 82.11
_cell_angle_gamma 105.08
_space_group_name_H-M_alt 'P 1'
_space_group_IT_number 1
loop_
_space_group_symop_operation_xyz
'x,y,z'
loop_
_atom_site_label
_atom_site_type_symbol
_atom_site_fract_x
_atom_site_fract_y
_atom_site_fract_z
Th1 Th 0.0000 0.0000 0.0000
Th2 Th 0.0482 0.7069 0.3413
Th3 Th 0.3656 0.7069 0.6587
Th4 Th 0.3677 0.0227 0.3450
Th5 Th 0.6777 0.0227 0.6550
Tl1 Tl 0.0742 0.3850 0.6892
Tl2 Tl 0.3514 0.3514 0.0000
Tl3 Tl 0.6958 0.3850 0.3108
Zn1 Zn 0.6151 0.7175 0.8976
Zn2 Zn 0.7616 0.2616 0.5000
Zn3 Zn 0.8199 0.7175 0.1024
```



7.
# Nb3NiS6
Computed X-ray diffraction stick pattern, Cu Kα (weighted mean of Kα1 and Kα2). Input: a crystal structure in Alexandria, relaxed with PBE.
No peak broadening, texture or thermal motion is included.

Main lines, by angle (10° ≤ 2θ ≤ 90°):
2θ = 14.9°, I = 54; 2θ = 19.1°, I = 13; 2θ = 30.8°, I = 42; 2θ = 31.7°, I = 17; 2θ = 34.3°, I = 52; 2θ = 38.4°, I = 13; 2θ = 43.5°, I = 100; 2θ = 54.7°, I = 36; 2θ = 72.3°, I = 21; 2θ = 87.6°, I = 18

Structural model:
```
data_Nb3NiS6
_chemical_formula_sum 'Nb6 Ni2 S12'
_cell_length_a 5.8146
_cell_length_b 5.8146
_cell_length_c 11.9098
_cell_angle_alpha 90.00
_cell_angle_beta 90.00
_cell_angle_gamma 120.00
_space_group_name_H-M_alt 'P 1'
_space_group_IT_number 1
loop_
_space_group_symop_operation_xyz
'x,y,z'
loop_
_atom_site_label
_atom_site_type_symbol
_atom_site_fract_x
_atom_site_fract_y
_atom_site_fract_z
Nb1 Nb 0.0000 0.0000 0.0000
Nb2 Nb 0.0000 0.0000 0.5000
Nb3 Nb 0.3333 0.6667 0.0024
Nb4 Nb 0.3333 0.6667 0.4976
Nb5 Nb 0.6667 0.3333 0.5024
Nb6 Nb 0.6667 0.3333 0.9976
Ni1 Ni 0.3333 0.6667 0.7500
Ni2 Ni 0.6667 0.3333 0.2500
S1 S 0.0008 0.3332 0.6319
S2 S 0.0008 0.6676 0.8681
S3 S 0.3324 0.3332 0.8681
S4 S 0.3324 0.9992 0.6319
S5 S 0.3332 0.0008 0.3681
S6 S 0.3332 0.3324 0.1319
S7 S 0.6668 0.6676 0.6319
S8 S 0.6668 0.9992 0.8681
S9 S 0.6676 0.0008 0.1319
S10 S 0.6676 0.6668 0.3681
S11 S 0.9992 0.3324 0.3681
S12 S 0.9992 0.6668 0.1319
```